For CrSnBO5, a crystal structure in Alexandria, relaxed with GGA+U gives the theoretical X-ray powder pattern in this record (a wavelength of 1.5418 Å).
Neutral-atom scattering factors, no anomalous dispersion.

Top 10 peaks for 10 to 90 degrees two-theta, low angle first:
Position (°2θ), I_rel
19.02, 59
22.18, 28
27.22, 100
31.17, 45
34.66, 53
37.12, 35
37.38, 19
45.95, 26
53.10, 18
56.58, 17

Crystal structure
a b c (Å): 6.2254 8.0142 7.3534
angles (deg): 90.00 112.79 90.00
Space group C2/c (No. 15)
One atom of each set of equivalent atoms:
1 Cr 0.0000 0.1474 0.2500 (multiplicity 4)
2 Sn 0.0000 0.5000 0.0000 (multiplicity 4)
3 B 0.0000 0.1841 0.7500 (multiplicity 4)
4 O 0.0000 0.3856 0.2500 (multiplicity 4)
5 O 0.1393 0.2936 0.6708 (multiplicity 8)
6 O 0.1456 0.0618 0.9029 (multiplicity 8)